Diffraction record for Mg4CdTe5. The PXRD pattern is simulated, not measured: it uses a GGA-PBE-relaxed structure and Cu Kα.

Peak list (6 most intense, 10° ≤ 2θ ≤ 90°, low angle first)
two_theta	I/Imax
22.21	69
23.62	46
25.20	100
38.98	61
42.50	62
46.08	46

Cell: 4.622 4.622 37.665 Å, 90.00 90.00 120.00°
Atoms (fractional coordinates):
1 Mg 0.000 0.000 0.000
2 Mg 0.000 0.000 0.198
3 Mg 0.000 0.000 0.397
4 Mg 0.000 0.000 0.599
5 Mg 0.000 0.000 0.801
6 Mg 0.667 0.333 0.099
7 Mg 0.667 0.333 0.298
8 Mg 0.667 0.333 0.901
9 Cd 0.667 0.333 0.497
10 Cd 0.667 0.333 0.699
11 Te 0.000 0.000 0.123
12 Te 0.000 0.000 0.322
13 Te 0.000 0.000 0.524
14 Te 0.000 0.000 0.726
15 Te 0.000 0.000 0.925
16 Te 0.667 0.333 0.024
17 Te 0.667 0.333 0.223
18 Te 0.667 0.333 0.421
19 Te 0.667 0.333 0.623
20 Te 0.667 0.333 0.826

Diffraction record for MoWS4. The PXRD pattern is simulated, not measured: it uses a GGA-PBE-relaxed structure and Cu Kα.

Peak list (6 most intense, 10° ≤ 2θ ≤ 90°, low angle first)
two_theta	I/Imax
10.99	100
13.74	76
32.41	26
37.99	63
45.12	30
47.21	22

Cell: 3.190 3.190 32.213 Å, 90.00 90.00 120.00°
Atoms (fractional coordinates):
1 Mo 0.000 0.000 0.000
2 Mo 0.000 0.000 0.437
3 W 0.333 0.667 0.221
4 W 0.333 0.667 0.655
5 S 0.000 0.000 0.172
6 S 0.000 0.000 0.270
7 S 0.000 0.000 0.606
8 S 0.000 0.000 0.703
9 S 0.333 0.667 0.049
10 S 0.333 0.667 0.389
11 S 0.333 0.667 0.486
12 S 0.333 0.667 0.951

Diffraction record for LaGd3Cl4O4. The PXRD pattern is simulated, not measured: it uses a GGA-PBE-relaxed structure and Cu Kα.

Peak list (6 most intense, 10° ≤ 2θ ≤ 90°, low angle first)
two_theta	I/Imax
12.84	40
25.77	92
31.66	66
34.35	100
45.39	33
58.13	41

Cell: 3.997 7.970 7.970 Å, 60.18 90.00 90.00°
Atoms (fractional coordinates):
1 La 0.000 0.000 0.000
2 Gd 0.000 0.509 0.509
3 Gd 0.500 0.424 0.925
4 Gd 0.500 0.925 0.424
5 Cl 0.000 0.273 0.273
6 Cl 0.000 0.774 0.774
7 Cl 0.500 0.162 0.647
8 Cl 0.500 0.647 0.162
9 O 0.000 0.346 0.838
10 O 0.000 0.838 0.346
11 O 0.500 0.092 0.092
12 O 0.500 0.592 0.592

Diffraction record for PmSm3. The PXRD pattern is simulated, not measured: it uses a GGA-PBE-relaxed structure and Cu Kα.

Peak list (6 most intense, 10° ≤ 2θ ≤ 90°, low angle first)
two_theta	I/Imax
28.05	23
30.47	25
32.00	100
49.63	20
55.12	21
59.36	23

Cell: 3.673 5.868 6.363 Å, 90.00 90.00 90.00°
Atoms (fractional coordinates):
1 Pm 0.000 0.000 0.000
2 Sm 0.000 0.500 0.333
3 Sm 0.500 0.000 0.500
4 Sm 0.500 0.500 0.833

Diffraction record for Nd4Dy4Ho. The PXRD pattern is simulated, not measured: it uses a GGA-PBE-relaxed structure and Cu Kα.

Peak list (6 most intense, 10° ≤ 2θ ≤ 90°, low angle first)
two_theta	I/Imax
30.41	100
35.21	34
35.35	17
50.75	24
60.22	29
60.42	14

Cell: 8.058 8.058 8.058 Å, 95.70 95.70 143.27°
Atoms (fractional coordinates):
1 Nd 0.167 0.167 0.333
2 Nd 0.167 0.833 0.000
3 Nd 0.833 0.167 0.000
4 Nd 0.833 0.833 0.667
5 Dy 0.165 0.500 0.665
6 Dy 0.500 0.165 0.665
7 Dy 0.500 0.835 0.335
8 Dy 0.835 0.500 0.335
9 Ho 0.500 0.500 0.000

Diffraction record for Ni2PdPt4W. The PXRD pattern is simulated, not measured: it uses a GGA-PBE-relaxed structure and Cu Kα.

Peak list (6 most intense, 10° ≤ 2θ ≤ 90°, low angle first)
two_theta	I/Imax
30.57	18
38.82	100
44.96	52
47.72	48
71.63	18
82.85	23

Cell: 3.811 3.811 9.117 Å, 90.00 90.00 90.00°
Atoms (fractional coordinates):
1 Ni 0.000 0.000 0.118
2 Ni 0.000 0.000 0.882
3 Pd 0.500 0.500 0.000
4 Pt 0.000 0.500 0.303
5 Pt 0.000 0.500 0.697
6 Pt 0.500 0.000 0.303
7 Pt 0.500 0.000 0.697
8 W 0.500 0.500 0.500

Diffraction record for Tb3TeSe6. The PXRD pattern is simulated, not measured: it uses a GGA-PBE-relaxed structure and Cu Kα.

Peak list (6 most intense, 10° ≤ 2θ ≤ 90°, low angle first)
two_theta	I/Imax
24.03	100
24.17	28
33.39	60
35.80	45
36.08	44
40.28	48

Cell: 8.956 8.956 7.046 Å, 90.00 90.00 103.57°
Atoms (fractional coordinates):
1 Tb 0.088 0.912 0.500
2 Tb 0.212 0.413 0.614
3 Tb 0.413 0.212 0.114
4 Tb 0.587 0.788 0.614
5 Tb 0.788 0.587 0.114
6 Tb 0.912 0.088 0.000
7 Te 0.331 0.669 0.089
8 Te 0.669 0.331 0.589
9 Se 0.065 0.604 0.334
10 Se 0.129 0.203 0.303
11 Se 0.203 0.129 0.803
12 Se 0.267 0.733 0.735
13 Se 0.396 0.935 0.334
14 Se 0.491 0.509 0.363
15 Se 0.509 0.491 0.863
16 Se 0.604 0.065 0.834
17 Se 0.733 0.267 0.235
18 Se 0.797 0.871 0.303
19 Se 0.871 0.797 0.803
20 Se 0.935 0.396 0.834

Diffraction record for Er5Sb2. The PXRD pattern is simulated, not measured: it uses a GGA-PBE-relaxed structure and Cu Kα.

Peak list (6 most intense, 10° ≤ 2θ ≤ 90°, low angle first)
two_theta	I/Imax
30.45	100
32.18	45
35.10	87
40.14	32
40.34	29
58.22	24

Cell: 19.600 19.600 4.472 Å, 90.00 90.00 166.84°
Atoms (fractional coordinates):
1 Er 0.035 0.965 0.750
2 Er 0.176 0.824 0.250
3 Er 0.250 0.750 0.750
4 Er 0.389 0.611 0.250
5 Er 0.464 0.536 0.750
6 Er 0.536 0.464 0.250
7 Er 0.611 0.389 0.750
8 Er 0.750 0.250 0.250
9 Er 0.824 0.176 0.750
10 Er 0.965 0.035 0.250
11 Sb 0.096 0.904 0.250
12 Sb 0.310 0.690 0.250
13 Sb 0.690 0.310 0.750
14 Sb 0.904 0.096 0.750

Diffraction record for Zn3C2. The PXRD pattern is simulated, not measured: it uses a GGA-PBE-relaxed structure and Cu Kα.

Peak list (6 most intense, 10° ≤ 2θ ≤ 90°, low angle first)
two_theta	I/Imax
33.98	76
35.31	100
39.57	47
48.81	27
49.81	53
69.53	19

Cell: 5.732 5.277 5.732 Å, 62.59 54.81 62.60°
Atoms (fractional coordinates):
1 Zn 0.000 0.000 0.000
2 Zn 0.240 0.613 0.459
3 Zn 0.250 0.250 0.250
4 Zn 0.562 0.791 0.637
5 Zn 0.613 0.240 0.688
6 Zn 0.791 0.562 0.010
7 C 0.194 0.623 0.851
8 C 0.399 0.918 0.056
9 C 0.623 0.194 0.332
10 C 0.918 0.399 0.627

Diffraction record for RbGeP. The PXRD pattern is simulated, not measured: it uses a GGA-PBE-relaxed structure and Cu Kα.

Peak list (6 most intense, 10° ≤ 2θ ≤ 90°, low angle first)
two_theta	I/Imax
27.75	100
32.25	63
32.62	25
32.84	30
51.67	24
52.06	20

Cell: 6.417 6.550 9.038 Å, 90.00 90.00 90.00°
Atoms (fractional coordinates):
1 Rb 0.000 0.000 0.000
2 Rb 0.000 0.500 0.247
3 Rb 0.500 0.000 0.747
4 Rb 0.500 0.500 0.500
5 Ge 0.000 0.299 0.654
6 Ge 0.000 0.701 0.654
7 Ge 0.500 0.201 0.154
8 Ge 0.500 0.799 0.154
9 P 0.173 0.500 0.846
10 P 0.327 0.000 0.346
11 P 0.673 0.000 0.346
12 P 0.827 0.500 0.846

Diffraction record for Tb3Ga11. The PXRD pattern is simulated, not measured: it uses a GGA-PBE-relaxed structure and Cu Kα.

Peak list (6 most intense, 10° ≤ 2θ ≤ 90°, low angle first)
two_theta	I/Imax
29.68	15
34.03	20
34.19	25
34.77	100
42.20	22
42.74	26

Cell: 8.418 8.418 8.418 Å, 150.89 106.92 80.52°
Atoms (fractional coordinates):
1 Tb 0.000 0.000 0.000
2 Tb 0.323 0.323 0.000
3 Tb 0.677 0.677 0.000
4 Ga 0.040 0.665 0.376
5 Ga 0.128 0.856 0.273
6 Ga 0.283 0.500 0.783
7 Ga 0.289 0.665 0.624
8 Ga 0.417 0.144 0.273
9 Ga 0.500 0.000 0.500
10 Ga 0.583 0.856 0.727
11 Ga 0.711 0.335 0.376
12 Ga 0.717 0.500 0.217
13 Ga 0.872 0.144 0.727
14 Ga 0.960 0.335 0.624

Diffraction record for TlCdInF6. The PXRD pattern is simulated, not measured: it uses a GGA-PBE-relaxed structure and Cu Kα.

Peak list (6 most intense, 10° ≤ 2θ ≤ 90°, low angle first)
two_theta	I/Imax
25.70	46
25.94	100
26.47	38
27.59	61
40.84	22
47.20	22

Cell: 8.049 8.049 8.049 Å, 121.90 119.50 88.81°
Atoms (fractional coordinates):
1 Tl 0.314 0.064 0.250
2 Tl 0.686 0.936 0.750
3 Cd 0.000 0.000 0.500
4 Cd 0.000 0.500 0.000
5 In 0.000 0.500 0.500
6 In 0.500 0.500 0.000
7 F 0.071 0.423 0.256
8 F 0.071 0.815 0.648
9 F 0.092 0.842 0.250
10 F 0.307 0.557 0.750
11 F 0.333 0.185 0.756
12 F 0.333 0.577 0.148
13 F 0.667 0.423 0.852
14 F 0.667 0.815 0.244
15 F 0.693 0.443 0.250
16 F 0.908 0.158 0.750
17 F 0.929 0.185 0.352
18 F 0.929 0.577 0.744

Diffraction record for CaTbDy2Sb4. The PXRD pattern is simulated, not measured: it uses a GGA-PBE-relaxed structure and Cu Kα.

Peak list (6 most intense, 10° ≤ 2θ ≤ 90°, low angle first)
two_theta	I/Imax
28.56	100
40.83	76
50.58	27
59.15	8
66.94	35
74.34	25

Cell: 6.248 6.248 12.516 Å, 90.00 90.00 90.00°
Atoms (fractional coordinates):
1 Ca 0.000 0.000 0.000
2 Ca 0.500 0.500 0.500
3 Tb 0.000 0.000 0.500
4 Tb 0.500 0.500 0.000
5 Dy 0.000 0.500 0.250
6 Dy 0.000 0.500 0.750
7 Dy 0.500 0.000 0.250
8 Dy 0.500 0.000 0.750
9 Sb 0.000 0.000 0.254
10 Sb 0.000 0.000 0.746
11 Sb 0.000 0.500 0.000
12 Sb 0.000 0.500 0.500
13 Sb 0.500 0.000 0.000
14 Sb 0.500 0.000 0.500
15 Sb 0.500 0.500 0.246
16 Sb 0.500 0.500 0.754